(1)
Structure and computed powder diffraction line list of KMg6WO8 (a structure optimized by DFT (GGA+U); Cu Kα (λ = 1.5418 Å)).

Cell and atoms:
a b c (Å): 4.482 4.482 8.814
angles (deg): 90.00 90.00 90.00
Atoms (fractional coordinates):
K 0.000 0.000 0.000
Mg 0.000 0.000 0.500
Mg 0.000 0.500 0.261
Mg 0.000 0.500 0.739
Mg 0.500 0.000 0.261
Mg 0.500 0.000 0.739
Mg 0.500 0.500 0.500
W 0.500 0.500 0.000
O 0.000 0.000 0.277
O 0.000 0.000 0.723
O 0.000 0.500 0.000
O 0.000 0.500 0.500
O 0.500 0.000 0.000
O 0.500 0.000 0.500
O 0.500 0.500 0.253
O 0.500 0.500 0.747

Main lines, low angle first (5° ≤ 2θ ≤ 70°):
2θ (°)  I (rel.)
10.04  100
19.81  36
22.25  59
29.96  40
34.87  55
40.24  79
40.96  36
58.77  45



(2)
Structure and computed powder diffraction line list of Sr16V8O31 (a structure optimized by DFT (GGA+U); Cu Kα (λ = 1.5418 Å)).

Cell and atoms:
a b c (Å): 6.918 11.063 11.784
angles (deg): 62.65 77.84 89.65
Atoms (fractional coordinates):
Sr 0.087 0.264 0.207
Sr 0.097 0.785 0.194
Sr 0.161 0.099 0.549
Sr 0.161 0.604 0.546
Sr 0.335 0.142 0.951
Sr 0.360 0.661 0.939
Sr 0.403 0.468 0.306
Sr 0.403 0.972 0.308
Sr 0.597 0.028 0.692
Sr 0.597 0.532 0.694
Sr 0.640 0.339 0.061
Sr 0.665 0.858 0.049
Sr 0.839 0.396 0.454
Sr 0.839 0.901 0.451
Sr 0.903 0.215 0.806
Sr 0.913 0.736 0.793
V 0.128 0.434 0.869
V 0.129 0.938 0.872
V 0.373 0.813 0.626
V 0.376 0.312 0.624
V 0.624 0.688 0.376
V 0.627 0.187 0.374
V 0.871 0.062 0.128
V 0.872 0.566 0.131
O 0.000 0.000 0.000
O 0.007 0.740 0.995
O 0.112 0.019 0.208
O 0.116 0.516 0.180
O 0.133 0.852 0.546
O 0.142 0.359 0.538
O 0.244 0.625 0.756
O 0.250 0.380 0.748
O 0.258 0.878 0.744
O 0.261 0.136 0.740
O 0.326 0.411 0.966
O 0.371 0.897 0.955
O 0.379 0.720 0.298
O 0.385 0.229 0.293
O 0.492 0.746 0.507
O 0.500 0.000 0.500
O 0.500 0.500 0.500
O 0.508 0.254 0.493
O 0.615 0.771 0.707
O 0.621 0.280 0.702
O 0.629 0.103 0.045
O 0.674 0.589 0.034
O 0.739 0.864 0.260
O 0.742 0.122 0.256
O 0.750 0.620 0.252
O 0.756 0.375 0.244
O 0.858 0.641 0.462
O 0.867 0.148 0.454
O 0.884 0.484 0.820
O 0.888 0.981 0.792
O 0.993 0.260 0.005

Main lines, low angle first (5° ≤ 2θ ≤ 70°):
2θ (°)  I (rel.)
31.01  95
31.25  100
32.21  71
32.37  70
42.83  34
43.44  28
45.96  39
46.67  38